Entry 1:
The following is a simulated powder X-ray diffraction pattern of GdTmAg2Se4. It was derived from DFT lattice parameters and positions (GGA-PBE), using a wavelength of 1.5418 Å.
Kinematic intensities with the Lorentz-polarization factor, no thermal factor.

Main lines, by intensity (2θ from 5° to 70°):
2theta	I/Imax	h k l
36.32	100	1 3 1
27.88	68	0 2 1
33.72	57	2 2 1
45.45	54	3 3 1
46.22	48	0 2 2
37.72	45	4 0 0

Crystal structure
Lattice parameters (Å, degrees): 9.540 9.565 4.310 90.00 90.00 90.00
Positions (direct):
Gd 0.000 0.000 0.000
Gd 0.500 0.500 0.000
Tm 0.000 0.500 0.592
Tm 0.500 0.000 0.592
Ag 0.250 0.250 0.796
Ag 0.250 0.750 0.796
Ag 0.750 0.250 0.796
Ag 0.750 0.750 0.796
Se 0.000 0.301 0.080
Se 0.000 0.699 0.080
Se 0.205 0.000 0.512
Se 0.295 0.500 0.512
Se 0.500 0.199 0.080
Se 0.500 0.801 0.080
Se 0.705 0.500 0.512
Se 0.795 0.000 0.512

***

Entry 2:
The following is a simulated powder X-ray diffraction pattern of GdHoNi2B2As2. It was derived from DFT lattice parameters and positions (GGA-PBE), using a wavelength of 1.5418 Å.
Kinematic intensities with the Lorentz-polarization factor, no thermal factor.

Main lines, by intensity (2θ from 5° to 70°):
2theta	I/Imax	h k l
39.16	100	1 1 2
46.10	52	2 0 0
40.29	48	1 0 3
32.14	48	1 1 0
25.11	44	1 0 1
34.02	43	1 1 1

Crystal structure
Lattice parameters (Å, degrees): 3.938 3.938 8.162 90.00 90.00 90.00
Positions (direct):
Gd 0.000 0.000 0.000
Ho 0.500 0.500 0.549
Ni 0.000 0.500 0.275
Ni 0.500 0.000 0.275
B 0.000 0.000 0.363
B 0.500 0.500 0.184
As 0.000 0.000 0.621
As 0.500 0.500 0.923

***

Entry 3:
The following is a simulated powder X-ray diffraction pattern of KPuAgSeS2. It was derived from DFT lattice parameters and positions (GGA-PBE), using a wavelength of 1.5418 Å.
Kinematic intensities with the Lorentz-polarization factor, no thermal factor.

Main lines, by intensity (2θ from 5° to 70°):
2theta	I/Imax	h k l
12.28	100	1 0 -1
34.99	29	1 1 -3
31.54	23	2 1 0
30.90	20	2 1 -1
44.23	18	2 1 -4
24.68	15	2 0 -2

Crystal structure
Lattice parameters (Å, degrees): 8.257 4.086 9.928 90.00 107.37 90.00
Positions (direct):
K 0.232 0.250 0.261
K 0.768 0.750 0.739
Pu 0.318 0.750 0.853
Pu 0.682 0.250 0.147
Ag 0.073 0.250 0.601
Ag 0.927 0.750 0.399
Se 0.266 0.750 0.557
Se 0.734 0.250 0.443
S 0.107 0.250 0.862
S 0.457 0.750 0.135
S 0.543 0.250 0.865
S 0.893 0.750 0.138